[1]
Calculated X-ray powder pattern of Li3Mn4B4O12 for Cu Kα, from the PBE+U geometry in the Materials Project.
Kinematic intensities with the Lorentz-polarization factor, no thermal factor.

Atomic structure:
```
Li3Mn4B4O12
1.0
5.2884 0.0000 0.0000
0.2600 6.1871 0.0000
0.6998 2.9188 15.3879
Li Mn B O
6 8 8 24
direct
0.1621 0.3888 0.2282
0.3192 0.1217 0.0300
0.3238 0.1185 0.5318
0.6762 0.8815 0.4682
0.6808 0.8783 0.9700
0.8379 0.6112 0.7718
0.1646 0.6634 0.5403
0.1715 0.6663 0.0399
0.3288 0.8248 0.2179
0.3384 0.8175 0.7175
0.6616 0.1825 0.2825
0.6712 0.1752 0.7821
0.8285 0.3337 0.9601
0.8354 0.3366 0.4597
0.1755 0.0130 0.3747
0.1759 0.9971 0.8727
0.3254 0.4914 0.8767
0.3260 0.4672 0.3782
0.6740 0.5328 0.6218
0.6746 0.5086 0.1233
0.8241 0.0029 0.1273
0.8245 0.9870 0.6253
0.0803 0.9500 0.1164
0.0838 0.9472 0.6171
0.1714 0.6078 0.8144
0.1849 0.5818 0.3141
0.2188 0.4082 0.9593
0.2262 0.4073 0.4639
0.2943 0.0932 0.2934
0.2967 0.0444 0.7896
0.3175 0.9133 0.4433
0.3219 0.9148 0.9433
0.4178 0.5478 0.1411
0.4250 0.6092 0.6378
0.5750 0.3908 0.3622
0.5822 0.4522 0.8589
0.6781 0.0852 0.0567
0.6825 0.0867 0.5567
0.7033 0.9556 0.2104
0.7057 0.9068 0.7066
0.7738 0.5927 0.5361
0.7812 0.5918 0.0407
0.8151 0.4182 0.6859
0.8286 0.3922 0.1856
0.9162 0.0528 0.3829
0.9197 0.0500 0.8836
```

Main lines, by angle (15 to 90 degrees two-theta):
- 20.24°, I 75
- 21.92°, I 38
- 22.68°, I 61
- 34.00°, I 100
- 34.13°, I 28
- 40.69°, I 48

=====

[2]
Calculated X-ray powder pattern of V2Bi8O17 for Cu Kα, from the PBE+U geometry in the Materials Project.
Kinematic intensities with the Lorentz-polarization factor, no thermal factor.

Atomic structure:
```
V2Bi8O17
1.0
3.7512 -1.8584 0.0000
3.7512 1.8584 0.0000
-2.6550 0.0000 32.0676
V Bi O
2 8 17
direct
0.0000 0.0000 0.0000
0.6046 0.6046 0.8232
0.1157 0.1157 0.6233
0.1659 0.1659 0.9121
0.3044 0.3044 0.1884
0.3621 0.3621 0.5224
0.5541 0.5541 0.0884
0.7166 0.7166 0.4073
0.7717 0.7717 0.7364
0.9455 0.9455 0.3047
0.0413 0.0413 0.4063
0.1144 0.1144 0.5550
0.1271 0.1271 0.8364
0.1545 0.1545 0.7043
0.2123 0.2123 0.9878
0.2947 0.2947 0.1197
0.3497 0.3497 0.2698
0.4389 0.4389 0.6213
0.5101 0.5101 0.7694
0.5227 0.5227 0.0138
0.5401 0.5401 0.8817
0.6282 0.6282 0.1858
0.7026 0.7026 0.3383
0.7643 0.7643 0.4879
0.8172 0.8172 0.8101
0.9050 0.9050 0.9454
0.9347 0.9347 0.0574
```

Main lines, by angle (15 to 90 degrees two-theta):
- 24.98°, I 37
- 25.44°, I 55
- 27.81°, I 27
- 28.38°, I 100
- 32.67°, I 34
- 43.62°, I 32